Starting from a structure optimized by DFT (GGA-PBE), the powder XRD pattern of Np4CoGe8 was calculated for copper Kα.
Peak positions follow from Bragg's law for the DFT cell and can differ from measured ones.

Largest 10 diffraction maxima, in order of falling intensity, 15 to 90 degrees two-theta:
hkl 1 1 3, 2θ 35.6, I 100
hkl 1 0 2, 2θ 25.0, I 26
hkl 0 1 5, 2θ 36.0, I 21
hkl 0 2 0, 2θ 43.5, I 19
hkl 2 0 0, 2θ 45.2, I 17
hkl 0 0 6, 2θ 34.6, I 16
hkl 0 1 1, 2θ 22.1, I 16
hkl 1 3 3, 2θ 74.7, I 16
hkl 1 0 6, 2θ 41.5, I 14
hkl 1 1 1, 2θ 31.5, I 13

Crystal structure
Unit cell a=4.009 b=4.159 c=15.563 alpha=90.00 beta=90.00 gamma=90.00
Space group Pmm2 (No. 25)
Inequivalent atoms, fractional coordinates:
Np 0.000 0.000 0.000 [1 per cell]
Np 0.000 0.500 0.494 [1 per cell]
Np 0.500 0.000 0.794 [1 per cell]
Np 0.500 0.500 0.291 [1 per cell]
Co 0.000 0.500 0.706 [1 per cell]
Ge 0.000 0.000 0.333 [1 per cell]
Ge 0.000 0.000 0.634 [1 per cell]
Ge 0.000 0.500 0.146 [1 per cell]
Ge 0.000 0.500 0.855 [1 per cell]
Ge 0.500 0.000 0.146 [1 per cell]
Ge 0.500 0.000 0.446 [1 per cell]
Ge 0.500 0.500 0.632 [1 per cell]
Ge 0.500 0.500 0.962 [1 per cell]